Entry 1:
Diffraction record for Fe2CoPd3. The powder X-ray diffraction pattern is simulated, not measured: it uses a crystal structure in Alexandria, relaxed with PBE and Cu Kα.
Peak positions follow from Bragg's law for the DFT cell and can differ from measured ones.

The 12 most intense peaks (10 to 80 degrees two-theta), by intensity:
41.16 deg, I 100
47.47 deg, I 16
47.96 deg, I 16
48.24 deg, I 16
69.78 deg, I 10
70.00 deg, I 10
70.39 deg, I 10
23.58 deg, I 9
33.24 deg, I 7
59.84 deg, I 3
53.67 deg, I 2
54.12 deg, I 2

```
Fe2CoPd3
1.0
1.8968 -5.7456 0.0000
1.8968 5.7456 0.0000
0.0000 0.0000 3.7731
Fe Co Pd
2 1 3
direct
0.1627 0.8373 0.0000
0.8373 0.1627 0.0000
0.5000 0.5000 0.0000
0.0000 0.0000 0.5000
0.3337 0.6663 0.5000
0.6663 0.3337 0.5000
```


Entry 2:
Diffraction record for PmFe2Co9. The powder X-ray diffraction pattern is simulated, not measured: it uses a crystal structure in Alexandria, relaxed with PBE and Cu Kα.
Peak positions follow from Bragg's law for the DFT cell and can differ from measured ones.

The 12 most intense peaks (10 to 80 degrees two-theta), by intensity:
40.23 deg, I 100
46.11 deg, I 62
46.41 deg, I 47
44.64 deg, I 41
36.87 deg, I 36
44.88 deg, I 35
50.59 deg, I 27
35.18 deg, I 22
71.96 deg, I 17
29.18 deg, I 15
38.32 deg, I 15
70.57 deg, I 14

```
PmFe2Co9
1.0
8.0662 0.0000 0.0000
0.0000 8.0662 0.0000
0.0000 0.0000 4.6982
Pm Fe Co
2 4 18
direct
0.0000 0.0000 0.0000
0.5000 0.5000 0.0000
0.1145 0.3855 0.0000
0.3855 0.8855 0.0000
0.6145 0.1145 0.0000
0.8855 0.6145 0.0000
0.0000 0.5000 0.5000
0.0664 0.2157 0.5000
0.1783 0.6783 0.2358
0.1783 0.6783 0.7642
0.2157 0.9336 0.5000
0.2843 0.4336 0.5000
0.3217 0.1783 0.2358
0.3217 0.1783 0.7642
0.4336 0.7157 0.5000
0.5000 0.0000 0.5000
0.5664 0.2843 0.5000
0.6783 0.8217 0.2358
0.6783 0.8217 0.7642
0.7157 0.5664 0.5000
0.7843 0.0664 0.5000
0.8217 0.3217 0.2358
0.8217 0.3217 0.7642
0.9336 0.7843 0.5000
```


Entry 3:
Diffraction record for PrFeCo4. The powder X-ray diffraction pattern is simulated, not measured: it uses a crystal structure in Alexandria, relaxed with PBE and Cu Kα.
Peak positions follow from Bragg's law for the DFT cell and can differ from measured ones.

The 12 most intense peaks (10 to 80 degrees two-theta), by intensity:
42.41 deg, I 100
30.56 deg, I 48
41.01 deg, I 37
35.32 deg, I 32
46.39 deg, I 24
68.27 deg, I 23
63.62 deg, I 19
74.70 deg, I 16
60.46 deg, I 14
59.62 deg, I 14
47.39 deg, I 7
63.39 deg, I 6

```
PrFeCo4
1.0
5.0828 0.0000 0.0000
-2.5414 4.4018 0.0000
0.0000 0.0000 3.9144
Pr Fe Co
1 1 4
direct
0.0000 0.0000 0.0000
0.3333 0.6667 0.0000
0.5013 0.0026 0.5000
0.5013 0.4987 0.5000
0.6667 0.3333 0.0000
0.9974 0.4987 0.5000
```


Entry 4:
Diffraction record for Fe2Co3Pt. The powder X-ray diffraction pattern is simulated, not measured: it uses a crystal structure in Alexandria, relaxed with PBE and Cu Kα.
Peak positions follow from Bragg's law for the DFT cell and can differ from measured ones.

The 12 most intense peaks (10 to 80 degrees two-theta), by intensity:
42.83 deg, I 100
49.94 deg, I 63
43.06 deg, I 33
16.18 deg, I 24
25.71 deg, I 17
73.10 deg, I 13
73.52 deg, I 12
35.68 deg, I 12
24.37 deg, I 10
29.32 deg, I 6
73.22 deg, I 6
29.46 deg, I 6

```
Fe2Co3Pt
1.0
5.1609 0.0000 0.0000
0.0001 5.1709 0.0000
1.3284 1.2945 5.4777
Fe Co Pt
4 6 2
direct
0.0886 0.0830 0.1659
0.0888 0.5847 0.1636
0.9112 0.4153 0.8364
0.9114 0.9170 0.8341
0.2547 0.7503 0.4992
0.4143 0.4141 0.8407
0.4137 0.9152 0.8410
0.5863 0.0848 0.1590
0.5857 0.5859 0.1593
0.7453 0.2497 0.5008
0.2532 0.2504 0.5008
0.7468 0.7496 0.4992
```


Entry 5:
Diffraction record for FeCoPt5. The powder X-ray diffraction pattern is simulated, not measured: it uses a crystal structure in Alexandria, relaxed with PBE and Cu Kα.
Peak positions follow from Bragg's law for the DFT cell and can differ from measured ones.

The 12 most intense peaks (10 to 80 degrees two-theta), by intensity:
21.62 deg, I 100
48.96 deg, I 89
38.87 deg, I 55
40.73 deg, I 54
29.82 deg, I 46
41.27 deg, I 46
25.92 deg, I 45
16.40 deg, I 43
48.21 deg, I 32
47.06 deg, I 26
69.22 deg, I 26
20.30 deg, I 25

```
FeCoPt5
1.0
-2.5646 4.3752 3.4371
2.5646 -4.3752 3.4371
2.5646 4.3752 -3.4371
Fe Co Pt
1 1 5
direct
0.0000 0.0000 0.0000
0.0279 0.5279 0.5000
0.3681 0.3681 0.0000
0.4340 0.1904 0.2436
0.6901 0.4387 0.7487
0.6901 0.9414 0.2513
0.9468 0.1904 0.7564
```


Entry 6:
Diffraction record for FeCoPt14. The powder X-ray diffraction pattern is simulated, not measured: it uses a crystal structure in Alexandria, relaxed with PBE and Cu Kα.
Peak positions follow from Bragg's law for the DFT cell and can differ from measured ones.

The 12 most intense peaks (10 to 80 degrees two-theta), by intensity:
42.42 deg, I 100
38.69 deg, I 34
39.24 deg, I 33
67.43 deg, I 21
73.30 deg, I 19
48.10 deg, I 18
37.38 deg, I 13
63.75 deg, I 10
55.31 deg, I 8
29.17 deg, I 3
20.84 deg, I 3
26.84 deg, I 2

```
FeCoPt14
1.0
9.1842 0.0000 0.0000
0.0000 2.7782 4.8109
0.0000 -2.7782 4.8109
Fe Co Pt
1 1 14
direct
0.0000 0.0000 0.0000
0.0000 0.4994 0.4994
0.0000 0.0040 0.5037
0.0000 0.5037 0.0040
0.2373 0.3323 0.8317
0.2373 0.8317 0.3323
0.2450 0.3356 0.3356
0.2447 0.8356 0.8356
0.5000 0.1655 0.1655
0.5000 0.1660 0.6660
0.5000 0.6653 0.6653
0.5000 0.6660 0.1660
0.7550 0.3356 0.3356
0.7553 0.8356 0.8356
0.7627 0.3323 0.8317
0.7627 0.8317 0.3323
```


Entry 7:
Diffraction record for FeCo12Pt6. The powder X-ray diffraction pattern is simulated, not measured: it uses a crystal structure in Alexandria, relaxed with PBE and Cu Kα.
Peak positions follow from Bragg's law for the DFT cell and can differ from measured ones.

The 12 most intense peaks (10 to 80 degrees two-theta), by intensity:
45.24 deg, I 100
37.65 deg, I 57
29.72 deg, I 49
14.73 deg, I 42
51.94 deg, I 41
34.45 deg, I 38
24.17 deg, I 32
52.74 deg, I 30
38.67 deg, I 30
69.30 deg, I 26
77.82 deg, I 19
49.51 deg, I 17

```
FeCo12Pt6
1.0
3.6817 2.1256 6.0143
-3.6817 2.1256 6.0143
0.0000 -4.2512 6.0143
Fe Co Pt
1 12 6
direct
0.0000 0.0000 0.0000
0.0566 0.3801 0.3801
0.1513 0.5000 0.8487
0.1513 0.8487 0.5000
0.3801 0.0566 0.3801
0.3801 0.3801 0.0566
0.5000 0.1513 0.8487
0.5000 0.8487 0.1513
0.6199 0.6199 0.9434
0.6199 0.9434 0.6199
0.8487 0.1513 0.5000
0.8487 0.5000 0.1513
0.9434 0.6199 0.6199
0.2302 0.2302 0.6826
0.2302 0.6826 0.2302
0.3174 0.7698 0.7698
0.6826 0.2302 0.2302
0.7698 0.3174 0.7698
0.7698 0.7698 0.3174
```


Entry 8:
Diffraction record for FeCoPt4. The powder X-ray diffraction pattern is simulated, not measured: it uses a crystal structure in Alexandria, relaxed with PBE and Cu Kα.
Peak positions follow from Bragg's law for the DFT cell and can differ from measured ones.

The 12 most intense peaks (10 to 80 degrees two-theta), by intensity:
43.96 deg, I 100
33.61 deg, I 59
27.50 deg, I 52
42.35 deg, I 33
51.24 deg, I 19
78.58 deg, I 15
41.03 deg, I 14
53.68 deg, I 11
44.38 deg, I 10
56.77 deg, I 10
43.16 deg, I 9
31.40 deg, I 9

```
FeCoPt4
1.0
4.7059 -4.2685 0.0000
4.7059 4.2685 0.0000
-4.4628 0.0000 4.7075
Fe Co Pt
2 2 8
direct
0.0242 0.9758 0.7500
0.9758 0.0242 0.2500
0.0000 0.5000 0.5000
0.5000 0.0000 0.0000
0.2346 0.7648 0.0391
0.2352 0.7654 0.4609
0.2939 0.2941 0.2938
0.2941 0.2939 0.7938
0.7059 0.7061 0.2062
0.7061 0.7059 0.7062
0.7648 0.2346 0.5391
0.7654 0.2352 0.9609
```


Entry 9:
Diffraction record for FeCoPt2. The powder X-ray diffraction pattern is simulated, not measured: it uses a crystal structure in Alexandria, relaxed with PBE and Cu Kα.
Peak positions follow from Bragg's law for the DFT cell and can differ from measured ones.

The 12 most intense peaks (10 to 80 degrees two-theta), by intensity:
40.63 deg, I 100
10.29 deg, I 67
47.69 deg, I 59
42.04 deg, I 48
31.21 deg, I 23
68.75 deg, I 21
38.22 deg, I 19
60.96 deg, I 14
70.73 deg, I 13
77.43 deg, I 11
74.27 deg, I 9
69.74 deg, I 4

```
FeCoPt2
1.0
1.3654 0.7883 8.5969
-1.3654 0.7883 8.5969
0.0000 -1.5766 8.5969
Fe Co Pt
1 1 2
direct
0.0000 0.0000 0.0000
0.7392 0.7392 0.7392
0.2509 0.2509 0.2509
0.4885 0.4885 0.4885
```


Entry 10:
Diffraction record for Fe11Co4Pt9. The powder X-ray diffraction pattern is simulated, not measured: it uses a crystal structure in Alexandria, relaxed with PBE and Cu Kα.
Peak positions follow from Bragg's law for the DFT cell and can differ from measured ones.

The 12 most intense peaks (10 to 80 degrees two-theta), by intensity:
41.20 deg, I 100
42.60 deg, I 75
45.02 deg, I 71
32.30 deg, I 37
53.30 deg, I 32
38.74 deg, I 32
42.36 deg, I 32
20.82 deg, I 30
30.50 deg, I 24
40.84 deg, I 24
27.03 deg, I 20
41.44 deg, I 18

```
Fe11Co4Pt9
1.0
6.5979 -8.7915 0.0000
6.5979 8.7915 0.0000
0.0000 0.0000 2.7719
Fe Co Pt
11 4 9
direct
0.0000 0.0000 0.0000
0.0689 0.4301 0.0000
0.1454 0.8546 0.0000
0.2953 0.2953 0.0000
0.3610 0.6390 0.0000
0.4301 0.0689 0.0000
0.5699 0.9311 0.0000
0.6390 0.3610 0.0000
0.7047 0.7047 0.0000
0.8546 0.1454 0.0000
0.9311 0.5699 0.0000
0.2529 0.4577 0.5000
0.4577 0.2529 0.5000
0.5423 0.7471 0.5000
0.7471 0.5423 0.5000
0.0682 0.2248 0.5000
0.1443 0.6461 0.5000
0.2248 0.0682 0.5000
0.3539 0.8557 0.5000
0.5000 0.5000 0.5000
0.6461 0.1443 0.5000
0.7752 0.9318 0.5000
0.8557 0.3539 0.5000
0.9318 0.7752 0.5000
```


Entry 11:
Diffraction record for Fe6CoPt2. The powder X-ray diffraction pattern is simulated, not measured: it uses a crystal structure in Alexandria, relaxed with PBE and Cu Kα.
Peak positions follow from Bragg's law for the DFT cell and can differ from measured ones.

The 12 most intense peaks (10 to 80 degrees two-theta), by intensity:
42.80 deg, I 100
41.58 deg, I 34
25.06 deg, I 32
44.80 deg, I 29
45.21 deg, I 27
13.98 deg, I 24
23.96 deg, I 15
60.84 deg, I 13
39.32 deg, I 11
51.27 deg, I 10
76.65 deg, I 10
61.59 deg, I 10

```
Fe6CoPt2
1.0
6.0970 -3.7143 0.0000
6.0970 3.7143 0.0000
-0.2461 0.0000 2.5724
Fe Co Pt
6 1 2
direct
0.1686 0.5004 0.1674
0.1800 0.8200 0.0000
0.5004 0.1686 0.1674
0.4996 0.8314 0.8326
0.8200 0.1800 0.0000
0.8314 0.4996 0.8326
0.5000 0.5000 0.5000
0.1641 0.1641 0.5242
0.8359 0.8359 0.4758
```


Entry 12:
Diffraction record for FeCo3Pt2. The powder X-ray diffraction pattern is simulated, not measured: it uses a crystal structure in Alexandria, relaxed with PBE and Cu Kα.
Peak positions follow from Bragg's law for the DFT cell and can differ from measured ones.

The 12 most intense peaks (10 to 80 degrees two-theta), by intensity:
27.74 deg, I 100
41.82 deg, I 94
13.77 deg, I 89
46.30 deg, I 64
42.15 deg, I 51
42.81 deg, I 42
45.69 deg, I 33
73.65 deg, I 19
31.86 deg, I 18
49.22 deg, I 17
72.27 deg, I 15
63.90 deg, I 14

```
FeCo3Pt2
1.0
-3.9717 3.9717 5.4782
3.9717 -3.9717 5.4782
3.9717 3.9717 -5.4782
Fe Co Pt
4 12 8
direct
0.0761 0.3261 0.7500
0.3261 0.0761 0.2500
0.6739 0.9239 0.7500
0.9239 0.6739 0.2500
0.0000 0.5000 0.5000
0.0886 0.3386 0.1772
0.0886 0.9114 0.7500
0.3386 0.0886 0.6772
0.3386 0.6614 0.2500
0.5000 0.0000 0.0000
0.5000 0.5000 0.0000
0.5000 0.5000 0.5000
0.6614 0.3386 0.7500
0.6614 0.9114 0.3228
0.9114 0.0886 0.2500
0.9114 0.6614 0.8228
0.2771 0.3393 0.5622
0.2771 0.7150 0.9378
0.2850 0.7229 0.5622
0.3393 0.2771 0.0622
0.6607 0.7229 0.9378
0.7150 0.2771 0.4378
0.7229 0.2850 0.0622
0.7229 0.6607 0.4378
```